# 1
# NaLi2RhO4
Simulated PXRD pattern, copper Kα. Input: a DFT-relaxed cell (PBE, Alexandria).
Neutral-atom scattering factors, no anomalous dispersion.

Structural model:
```
NaLi2RhO4
1.0
-2.5729 2.5729 3.7587
2.5729 -2.5729 3.7587
2.5729 2.5729 -3.7587
Na Li Rh O
1 2 1 4
direct
0.0000 0.0000 0.0000
0.2500 0.7500 0.5000
0.7500 0.2500 0.5000
0.5000 0.5000 0.0000
0.1473 0.1473 0.5789
0.4316 0.8527 0.0000
0.5684 0.5684 0.4211
0.8527 0.4316 0.0000
```

Main lines, sorted by position (2θ = 15–90°):
| d [Å] | I (rel.) |
| --- | --- |
| 4.246 | 100 |
| 3.759 | 24 |
| 3.639 | 62 |
| 2.614 | 77 |
| 2.200 | 23 |
| 2.123 | 31 |
| 1.819 | 19 |
| 1.695 | 15 |
| 1.518 | 20 |
| 1.493 | 24 |

***

# 2
# Na2LiRh3O8
Simulated PXRD pattern, copper Kα. Input: a DFT-relaxed cell (PBE, Alexandria).
Neutral-atom scattering factors, no anomalous dispersion.

Structural model:
```
Na2LiRh3O8
1.0
3.0942 1.7865 5.5724
-3.0942 1.7865 5.5724
0.0000 -3.5729 5.5724
Na Li Rh O
2 1 3 8
direct
0.0000 0.0000 0.0000
0.3667 0.3667 0.3667
0.8070 0.8070 0.8070
0.3659 0.3659 0.8672
0.3659 0.8672 0.3659
0.8672 0.3659 0.3659
0.1085 0.1085 0.5642
0.1085 0.5642 0.1085
0.1373 0.1373 0.1373
0.1674 0.6238 0.6238
0.5642 0.1085 0.1085
0.5911 0.5911 0.5911
0.6238 0.1674 0.6238
0.6238 0.6238 0.1674
```

Main lines, sorted by position (2θ = 15–90°):
| d [Å] | I (rel.) |
| --- | --- |
| 5.572 | 100 |
| 5.104 | 33 |
| 2.705 | 19 |
| 2.646 | 35 |
| 2.552 | 18 |
| 2.256 | 46 |
| 1.783 | 20 |
| 1.648 | 15 |
| 1.547 | 19 |
| 1.491 | 14 |

***

# 3
# Na2Li2SbO6
Simulated PXRD pattern, copper Kα. Input: a DFT-relaxed cell (PBE, Alexandria).
Neutral-atom scattering factors, no anomalous dispersion.

Structural model:
```
Na2Li2SbO6
1.0
5.2986 0.0000 0.0000
-2.6493 4.5887 0.0000
0.0000 0.0000 5.4573
Na Li Sb O
2 2 1 6
direct
0.3333 0.6667 0.0000
0.6667 0.3333 0.0000
0.3333 0.6667 0.5000
0.6667 0.3333 0.5000
0.0000 0.0000 0.5000
0.0000 0.3159 0.2986
0.0000 0.6841 0.7014
0.3159 0.0000 0.2986
0.3159 0.3159 0.7014
0.6841 0.0000 0.7014
0.6841 0.6841 0.2986
```

Main lines, sorted by position (2θ = 15–90°):
| d [Å] | I (rel.) |
| --- | --- |
| 5.457 | 32 |
| 4.589 | 45 |
| 3.512 | 100 |
| 2.649 | 20 |
| 2.383 | 19 |
| 2.345 | 12 |
| 2.115 | 23 |
| 1.901 | 42 |
| 1.653 | 21 |
| 1.530 | 14 |

***

# 4
# Na2Li2SeO6
Simulated PXRD pattern, copper Kα. Input: a DFT-relaxed cell (PBE, Alexandria).
Neutral-atom scattering factors, no anomalous dispersion.

Structural model:
```
Na2Li2SeO6
1.0
5.1063 0.0000 0.0000
-2.5531 4.4222 0.0000
0.0000 0.0000 5.3485
Na Li Se O
2 2 1 6
direct
0.3333 0.6667 0.0000
0.6667 0.3333 0.0000
0.3333 0.6667 0.5000
0.6667 0.3333 0.5000
0.0000 0.0000 0.5000
0.0000 0.2918 0.3079
0.0000 0.7082 0.6921
0.2918 0.0000 0.3079
0.2918 0.2918 0.6921
0.7082 0.0000 0.6921
0.7082 0.7082 0.3079
```

Main lines, sorted by position (2θ = 15–90°):
| d [Å] | I (rel.) |
| --- | --- |
| 5.348 | 30 |
| 4.422 | 39 |
| 3.408 | 100 |
| 2.553 | 18 |
| 2.304 | 18 |
| 2.043 | 17 |
| 1.847 | 47 |
| 1.595 | 18 |
| 1.474 | 14 |
| 1.219 | 9 |

***

# 5
# Na3LiSn3O8
Simulated PXRD pattern, copper Kα. Input: a DFT-relaxed cell (PBE, Alexandria).
Neutral-atom scattering factors, no anomalous dispersion.

Structural model:
```
Na3LiSn3O8
1.0
3.1656 1.8276 5.5492
-3.1656 1.8276 5.5492
0.0000 -3.6553 5.5492
Na Li Sn O
3 1 3 8
direct
0.0000 0.5000 0.5000
0.5000 0.0000 0.5000
0.5000 0.5000 0.0000
0.5000 0.5000 0.5000
0.0000 0.0000 0.5000
0.0000 0.5000 0.0000
0.5000 0.0000 0.0000
0.2187 0.7370 0.7370
0.2404 0.2404 0.2404
0.2630 0.2630 0.7813
0.2630 0.7813 0.2630
0.7370 0.2187 0.7370
0.7370 0.7370 0.2187
0.7596 0.7596 0.7596
0.7813 0.2630 0.2630
```

Main lines, sorted by position (2θ = 15–90°):
| d [Å] | I (rel.) |
| --- | --- |
| 5.549 | 100 |
| 5.208 | 20 |
| 4.579 | 34 |
| 2.705 | 35 |
| 2.604 | 39 |
| 2.289 | 88 |
| 1.796 | 19 |
| 1.658 | 28 |
| 1.583 | 27 |
| 1.522 | 18 |

***

# 6
# NaLi2TcO4
Simulated PXRD pattern, copper Kα. Input: a DFT-relaxed cell (PBE, Alexandria).
Neutral-atom scattering factors, no anomalous dispersion.

Structural model:
```
NaLi2TcO4
1.0
-2.5690 2.5690 3.8088
2.5690 -2.5690 3.8088
2.5690 2.5690 -3.8088
Na Li Tc O
1 2 1 4
direct
0.0000 0.0000 0.0000
0.2500 0.7500 0.5000
0.7500 0.2500 0.5000
0.5000 0.5000 0.0000
0.1517 0.1517 0.5788
0.4270 0.8483 0.0000
0.5730 0.5730 0.4212
0.8483 0.4270 0.0000
```

Main lines, sorted by position (2θ = 15–90°):
| d [Å] | I (rel.) |
| --- | --- |
| 4.260 | 100 |
| 3.809 | 26 |
| 3.633 | 62 |
| 2.629 | 81 |
| 2.200 | 22 |
| 2.130 | 30 |
| 1.817 | 19 |
| 1.704 | 15 |
| 1.530 | 22 |
| 1.494 | 25 |

***

# 7
# NaLiTc2O8
Simulated PXRD pattern, copper Kα. Input: a DFT-relaxed cell (PBE, Alexandria).
Neutral-atom scattering factors, no anomalous dispersion.

Structural model:
```
NaLiTc2O8
1.0
5.8091 0.0000 0.0000
-2.9045 5.0308 0.0000
0.0000 0.0000 6.4851
Na Li Tc O
1 1 2 8
direct
0.0000 0.0000 0.0000
0.0000 0.0000 0.5000
0.3333 0.6667 0.2124
0.6667 0.3333 0.7876
0.1684 0.3368 0.2963
0.1684 0.8316 0.2963
0.3333 0.6667 0.9460
0.3368 0.1684 0.7037
0.6632 0.8316 0.2963
0.6667 0.3333 0.0540
0.8316 0.1684 0.7037
0.8316 0.6632 0.7037
```

Main lines, sorted by position (2θ = 15–90°):
| d [Å] | I (rel.) |
| --- | --- |
| 5.031 | 12 |
| 3.975 | 100 |
| 3.243 | 12 |
| 2.905 | 32 |
| 2.725 | 11 |
| 2.651 | 11 |
| 1.987 | 27 |
| 1.825 | 21 |
| 1.428 | 9 |
| 1.364 | 13 |

***

# 8
# Na5Li3Ti5O14
Simulated PXRD pattern, copper Kα. Input: a DFT-relaxed cell (PBE, Alexandria).
Neutral-atom scattering factors, no anomalous dispersion.

Structural model:
```
Na5Li3Ti5O14
1.0
5.2396 0.0000 0.0000
-0.9058 7.0050 0.0000
-1.5673 -0.2749 8.1097
Na Li Ti O
5 3 5 14
direct
0.0000 0.0000 0.0000
0.1321 0.3102 0.3171
0.3986 0.8438 0.8471
0.5611 0.1372 0.1440
0.8426 0.7085 0.7130
0.0532 0.1520 0.6444
0.3417 0.7125 0.2145
0.6559 0.4717 0.4140
0.1788 0.4262 0.9306
0.5044 0.9886 0.4971
0.6074 0.2826 0.7679
0.7577 0.5801 0.0869
0.9442 0.8592 0.3719
0.0866 0.6730 0.9813
0.1675 0.8836 0.5766
0.2391 0.9817 0.2853
0.3216 0.1797 0.8790
0.4326 0.2719 0.5543
0.4593 0.4505 0.1626
0.5296 0.5348 0.8568
0.6119 0.7520 0.4559
0.6917 0.8274 0.1213
0.7014 0.0269 0.7285
0.7959 0.1005 0.4035
0.8969 0.3121 0.0289
0.9482 0.4022 0.7229
0.9722 0.5976 0.3063
```

Main lines, sorted by position (2θ = 15–90°):
| d [Å] | I (rel.) |
| --- | --- |
| 5.391 | 75 |
| 5.213 | 15 |
| 2.218 | 52 |
| 2.183 | 100 |
| 1.614 | 13 |
| 1.593 | 13 |
| 1.590 | 13 |
| 1.520 | 12 |
| 1.505 | 12 |
| 1.502 | 11 |

***

# 9
# NaLiTi3O7
Simulated PXRD pattern, copper Kα. Input: a DFT-relaxed cell (PBE, Alexandria).
Neutral-atom scattering factors, no anomalous dispersion.

Structural model:
```
NaLiTi3O7
1.0
0.0000 5.6730 8.3162
2.8814 0.0000 8.3162
2.8814 5.6730 0.0000
Na Li Ti O
2 2 6 14
direct
0.1309 0.8691 0.1309
0.8691 0.1309 0.8691
0.1838 0.1838 0.8162
0.8162 0.8162 0.1838
0.2500 0.2500 0.2500
0.2645 0.5180 0.4820
0.4820 0.7355 0.2645
0.5180 0.2645 0.7355
0.7355 0.4820 0.5180
0.7500 0.7500 0.7500
0.1297 0.3982 0.6018
0.1316 0.1316 0.3684
0.1699 0.6172 0.8301
0.3346 0.6654 0.3346
0.3684 0.3684 0.1316
0.3828 0.8301 0.6172
0.3982 0.1297 0.8703
0.6018 0.8703 0.1297
0.6172 0.1699 0.3828
0.6316 0.6316 0.8684
0.6654 0.3346 0.6654
0.8301 0.3828 0.1699
0.8684 0.8684 0.6316
0.8703 0.6018 0.3982
```

Main lines, sorted by position (2θ = 15–90°):
| d [Å] | I (rel.) |
| --- | --- |
| 5.673 | 43 |
| 4.909 | 85 |
| 4.686 | 37 |
| 3.769 | 32 |
| 3.106 | 29 |
| 2.792 | 42 |
| 2.455 | 25 |
| 2.079 | 39 |
| 2.021 | 100 |
| 1.449 | 40 |

***

Q: What is the formula in the sixth record?
A: NaLi2TcO4